(1)
This entry pairs a crystal structure of Na8B13C3 with its theoretical powder XRD pattern. Radiation: Cu Ka. Structure: a cell relaxed with PBE.
Peak positions follow from Bragg's law for the DFT cell and can differ from measured ones.

Largest 12 diffraction maxima, low angle first, 15° ≤ 2θ ≤ 90°:
- d 4.295, 20.68°, rel. 1, (4 0 0)
- d 2.554, 35.13°, rel. 20, (1 1 -2)
- d 2.195, 41.11°, rel. 100, (2 0 4)
- d 2.147, 42.08°, rel. 24, (8 0 0)
- d 1.644, 55.94°, rel. 10, (7 1 2)
- d 1.475, 63.03°, rel. 18, (0 2 0)
- d 1.395, 67.10°, rel. 2, (1 1 6)
- d 1.277, 74.26°, rel. 2, (4 0 -8)
- d 1.249, 76.24°, rel. 12, (10 0 4)
- d 1.224, 78.06°, rel. 11, (2 2 4)
- d 1.216, 78.71°, rel. 17, (8 2 0)
- d 1.098, 89.21°, rel. 1, (4 0 8)

Structure:
```
data_Na8B13C3
_cell_length_a 17.923
_cell_length_b 2.948
_cell_length_c 10.222
_cell_angle_alpha 90.00
_cell_angle_beta 106.55
_cell_angle_gamma 90.00
_symmetry_space_group_name_H-M 'C 1 m 1'
_symmetry_Int_Tables_number 8
_symmetry_space_group_name_Hall 'C -2y'
loop_
_atom_site_label
_atom_site_type_symbol
_atom_site_fract_x
_atom_site_fract_y
_atom_site_fract_z
Na1 Na 0.000 0.000 0.000
Na2 Na 0.000 0.000 0.498
Na3 Na 0.000 0.500 0.249
Na4 Na 0.002 0.500 0.749
Na5 Na 0.246 0.500 0.872
Na6 Na 0.248 0.000 0.124
Na7 Na 0.249 0.000 0.622
Na8 Na 0.249 0.500 0.374
B1 B 0.124 0.000 0.233
B2 B 0.124 0.000 0.714
B3 B 0.124 0.000 0.894
B4 B 0.124 0.500 0.473
B5 B 0.124 0.500 0.994
B6 B 0.373 0.000 0.849
B7 B 0.374 0.000 0.023
B8 B 0.374 0.000 0.350
B9 B 0.374 0.000 0.523
B10 B 0.374 0.500 0.100
B11 B 0.374 0.500 0.273
B12 B 0.374 0.500 0.600
B13 B 0.374 0.500 0.773
C1 C 0.124 0.000 0.395
C2 C 0.124 0.500 0.153
C3 C 0.124 0.500 0.636
```



(2)
This entry pairs a crystal structure of Na2PrMnN4 with its theoretical powder XRD pattern. Radiation: Cu Ka. Structure: a cell relaxed with PBE.
Peak positions follow from Bragg's law for the DFT cell and can differ from measured ones.

Largest 12 diffraction maxima, low angle first, 15° ≤ 2θ ≤ 90°:
- d 4.343, 20.45°, rel. 31, (1 0 1)
- d 4.286, 20.72°, rel. 95, (1 1 0)
- d 3.031, 29.47°, rel. 71, (2 0 0)
- d 2.519, 35.65°, rel. 100, (1 1 2)
- d 2.485, 36.14°, rel. 32, (2 1 1)
- d 2.171, 41.59°, rel. 28, (2 0 2)
- d 2.143, 42.16°, rel. 35, (2 2 0)
- d 1.765, 51.79°, rel. 13, (2 2 2)
- d 1.632, 56.37°, rel. 58, (3 1 2)
- d 1.384, 67.68°, rel. 16, (2 0 4)
- d 1.355, 69.33°, rel. 15, (4 2 0)
- d 1.111, 87.92°, rel. 14, (5 1 2)

Structure:
```
data_Na2PrMnN4
_cell_length_a 6.062
_cell_length_b 6.062
_cell_length_c 6.225
_cell_angle_alpha 90.00
_cell_angle_beta 90.00
_cell_angle_gamma 90.00
_symmetry_space_group_name_H-M 'I -4 2 m'
_symmetry_Int_Tables_number 121
_symmetry_space_group_name_Hall 'I -4 2'
loop_
_atom_site_label
_atom_site_type_symbol
_atom_site_fract_x
_atom_site_fract_y
_atom_site_fract_z
Na1 Na 0.000 0.500 0.250
Pr1 Pr 0.000 0.000 0.000
Mn1 Mn 0.000 0.000 0.500
N1 N 0.160 0.160 0.336
```



(3)
This entry pairs a crystal structure of ZrNb2Mo2 with its theoretical powder XRD pattern. Radiation: Cu Ka. Structure: a cell relaxed with PBE.
Peak positions follow from Bragg's law for the DFT cell and can differ from measured ones.

Largest 12 diffraction maxima, low angle first, 15° ≤ 2θ ≤ 90°:
- d 2.364, 38.07°, rel. 26, (0 2 0)
- d 2.331, 38.63°, rel. 100, (1 1 2)
- d 2.298, 39.20°, rel. 23, (0 0 5)
- d 1.648, 55.78°, rel. 24, (2 0 -1)
- d 1.358, 69.16°, rel. 17, (1 3 2)
- d 1.352, 69.52°, rel. 9, (2 2 -1)
- d 1.341, 70.21°, rel. 4, (2 0 -6)
- d 1.339, 70.32°, rel. 4, (2 0 4)
- d 1.333, 70.66°, rel. 14, (1 1 -8)
- d 1.182, 81.43°, rel. 3, (0 4 0)
- d 1.166, 82.77°, rel. 5, (2 2 -6)
- d 1.165, 82.88°, rel. 5, (2 2 4)

Structure:
```
data_ZrNb2Mo2
_cell_length_a 3.297
_cell_length_b 4.727
_cell_length_c 11.611
_cell_angle_alpha 90.00
_cell_angle_beta 98.25
_cell_angle_gamma 90.00
_symmetry_space_group_name_H-M 'P 1 21/m 1'
_symmetry_Int_Tables_number 11
_symmetry_space_group_name_Hall '-P 2yb'
loop_
_atom_site_label
_atom_site_type_symbol
_atom_site_fract_x
_atom_site_fract_y
_atom_site_fract_z
Zr1 Zr 0.147 0.250 0.294
Nb1 Nb 0.049 0.750 0.097
Nb2 Nb 0.243 0.750 0.488
Mo1 Mo 0.351 0.250 0.702
Mo2 Mo 0.455 0.750 0.908
```



(4)
This entry pairs a crystal structure of LiSm4Cd2 with its theoretical powder XRD pattern. Radiation: Cu Ka. Structure: a cell relaxed with PBE.
Peak positions follow from Bragg's law for the DFT cell and can differ from measured ones.

Largest 12 diffraction maxima, low angle first, 15° ≤ 2θ ≤ 90°:
- d 4.882, 18.17°, rel. 38, (1 1 0)
- d 3.133, 28.49°, rel. 23, (2 1 -2)
- d 2.961, 30.18°, rel. 100, (1 2 0)
- d 2.865, 31.22°, rel. 66, (1 0 2)
- d 2.758, 32.46°, rel. 85, (3 0 -1)
- d 2.732, 32.77°, rel. 79, (2 0 -3)
- d 2.619, 34.24°, rel. 44, (1 1 2)
- d 2.561, 35.04°, rel. 45, (1 2 -2)
- d 2.554, 35.14°, rel. 78, (2 2 -1)
- d 2.447, 36.72°, rel. 69, (0 2 2)
- d 1.920, 47.35°, rel. 30, (3 2 -3)
- d 1.721, 53.23°, rel. 25, (4 2 -1)

Structure:
```
data_LiSm4Cd2
_cell_length_a 8.357
_cell_length_b 6.457
_cell_length_c 8.436
_cell_angle_alpha 90.00
_cell_angle_beta 117.17
_cell_angle_gamma 90.00
_symmetry_space_group_name_H-M 'P 1 21/m 1'
_symmetry_Int_Tables_number 11
_symmetry_space_group_name_Hall '-P 2yb'
loop_
_atom_site_label
_atom_site_type_symbol
_atom_site_fract_x
_atom_site_fract_y
_atom_site_fract_z
Li1 Li 0.217 0.250 0.172
Sm1 Sm 0.076 0.003 0.742
Sm2 Sm 0.406 0.250 0.614
Sm3 Sm 0.486 0.750 0.935
Cd1 Cd 0.180 0.750 0.108
Cd2 Cd 0.286 0.750 0.518
```



(5)
This entry pairs a crystal structure of Ac4La4Y with its theoretical powder XRD pattern. Radiation: Cu Ka. Structure: a cell relaxed with PBE.
Peak positions follow from Bragg's law for the DFT cell and can differ from measured ones.

Largest 12 diffraction maxima, low angle first, 15° ≤ 2θ ≤ 90°:
- d 3.359, 26.54°, rel. 23, (3 1 -3)
- d 3.099, 28.81°, rel. 25, (4 0 2)
- d 2.953, 30.26°, rel. 100, (2 2 1)
- d 2.278, 39.57°, rel. 16, (1 1 5)
- d 1.939, 46.84°, rel. 20, (3 3 -3)
- d 1.760, 51.96°, rel. 22, (6 2 3)
- d 1.644, 55.92°, rel. 16, (1 3 5)
- d 1.643, 55.96°, rel. 8, (10 0 -4)
- d 1.621, 56.79°, rel. 17, (8 2 -5)
- d 1.244, 76.58°, rel. 10, (5 5 -2)
- d 1.211, 79.11°, rel. 9, (11 3 1)
- d 1.163, 83.04°, rel. 6, (10 2 5)

Structure:
```
data_Ac4La4Y
_cell_length_a 16.995
_cell_length_b 6.722
_cell_length_c 13.179
_cell_angle_alpha 90.00
_cell_angle_beta 105.11
_cell_angle_gamma 90.00
_symmetry_space_group_name_H-M 'C 1 2/c 1'
_symmetry_Int_Tables_number 15
_symmetry_space_group_name_Hall '-C 2yc'
loop_
_atom_site_label
_atom_site_type_symbol
_atom_site_fract_x
_atom_site_fract_y
_atom_site_fract_z
Ac1 Ac 0.109 0.089 0.023
Ac2 Ac 0.219 0.083 0.803
La1 La 0.054 0.424 0.643
La2 La 0.164 0.407 0.419
Y1 Y 0.000 0.090 0.250
```



(6)
This entry pairs a crystal structure of Dy4Ho3Sc5 with its theoretical powder XRD pattern. Radiation: Cu Ka. Structure: a cell relaxed with PBE.
Peak positions follow from Bragg's law for the DFT cell and can differ from measured ones.

Largest 12 diffraction maxima, low angle first, 15° ≤ 2θ ≤ 90°:
- d 4.030, 22.06°, rel. 35, (1 1 1)
- d 3.496, 25.48°, rel. 29, (3 1 0)
- d 2.917, 30.65°, rel. 26, (1 1 2)
- d 2.901, 30.82°, rel. 33, (4 0 -3)
- d 2.865, 31.22°, rel. 41, (2 0 2)
- d 2.833, 31.58°, rel. 92, (0 2 0)
- d 2.689, 33.32°, rel. 43, (3 1 -3)
- d 2.660, 33.69°, rel. 100, (5 1 -2)
- d 2.592, 34.61°, rel. 54, (1 1 -3)
- d 2.027, 44.70°, rel. 24, (4 2 -3)
- d 2.015, 44.99°, rel. 30, (2 2 2)
- d 1.601, 57.59°, rel. 21, (5 3 -2)

Structure:
```
data_Dy4Ho3Sc5
_cell_length_a 15.338
_cell_length_b 5.668
_cell_length_c 9.232
_cell_angle_alpha 90.00
_cell_angle_beta 119.69
_cell_angle_gamma 90.00
_symmetry_space_group_name_H-M 'C 1 2/m 1'
_symmetry_Int_Tables_number 12
_symmetry_space_group_name_Hall '-C 2y'
loop_
_atom_site_label
_atom_site_type_symbol
_atom_site_fract_x
_atom_site_fract_y
_atom_site_fract_z
Dy1 Dy 0.086 0.000 0.444
Dy2 Dy 0.210 0.000 0.883
Ho1 Ho 0.000 0.500 0.000
Ho2 Ho 0.227 0.000 0.259
Sc1 Sc 0.000 0.000 0.000
Sc2 Sc 0.062 0.500 0.702
Sc3 Sc 0.167 0.500 0.363
```



(7)
This entry pairs a crystal structure of Rb2S2O7 with its theoretical powder XRD pattern. Radiation: Cu Ka. Structure: a cell relaxed with PBE.
Peak positions follow from Bragg's law for the DFT cell and can differ from measured ones.

Largest 12 diffraction maxima, low angle first, 15° ≤ 2θ ≤ 90°:
- d 3.873, 22.96°, rel. 100, (0 2 0)
- d 3.464, 25.72°, rel. 50, (1 2 -1)
- d 3.422, 26.04°, rel. 65, (2 0 0)
- d 3.409, 26.14°, rel. 35, (1 1 -4)
- d 3.347, 26.63°, rel. 70, (0 0 4)
- d 3.294, 27.07°, rel. 45, (2 0 -4)
- d 3.130, 28.52°, rel. 22, (2 1 0)
- d 2.532, 35.45°, rel. 26, (0 2 4)
- d 2.434, 36.93°, rel. 19, (1 1 4)
- d 2.408, 37.35°, rel. 18, (0 3 2)
- d 2.138, 42.28°, rel. 18, (1 2 4)
- d 2.026, 44.74°, rel. 22, (3 2 -5)

Structure:
```
data_Rb2S2O7
_cell_length_a 7.765
_cell_length_b 7.742
_cell_length_c 15.191
_cell_angle_alpha 90.00
_cell_angle_beta 118.19
_cell_angle_gamma 90.00
_symmetry_space_group_name_H-M 'P 1 21/c 1'
_symmetry_Int_Tables_number 14
_symmetry_space_group_name_Hall '-P 2ybc'
loop_
_atom_site_label
_atom_site_type_symbol
_atom_site_fract_x
_atom_site_fract_y
_atom_site_fract_z
Rb1 Rb 0.008 0.137 0.153
Rb2 Rb 0.436 0.728 0.634
S1 S 0.103 0.181 0.417
S2 S 0.474 0.222 0.607
O1 O 0.006 0.023 0.367
O2 O 0.006 0.712 0.547
O3 O 0.182 0.218 0.863
O4 O 0.295 0.102 0.518
O5 O 0.377 0.153 0.141
O6 O 0.419 0.700 0.440
O7 O 0.420 0.588 0.820
```



(8)
This entry pairs a crystal structure of Ag5SbBr12 with its theoretical powder XRD pattern. Radiation: Cu Ka. Structure: a cell relaxed with PBE.
Peak positions follow from Bragg's law for the DFT cell and can differ from measured ones.

Largest 12 diffraction maxima, low angle first, 15° ≤ 2θ ≤ 90°:
- d 3.357, 26.55°, rel. 32, (1 3 1)
- d 3.236, 27.57°, rel. 100, (1 3 -2)
- d 3.158, 28.26°, rel. 32, (2 0 1)
- d 3.014, 29.64°, rel. 76, (1 3 2)
- d 2.871, 31.15°, rel. 61, (1 3 -3)
- d 2.826, 31.66°, rel. 45, (2 0 2)
- d 2.643, 33.92°, rel. 83, (1 3 3)
- d 2.563, 35.00°, rel. 51, (2 0 -4)
- d 2.191, 41.20°, rel. 40, (1 3 -5)
- d 2.180, 41.43°, rel. 31, (2 0 4)
- d 2.086, 43.37°, rel. 49, (0 6 0)
- d 2.007, 45.19°, rel. 82, (3 3 -1)

Structure:
```
data_Ag5SbBr12
_cell_length_a 6.867
_cell_length_b 12.517
_cell_length_c 13.202
_cell_angle_alpha 90.00
_cell_angle_beta 99.26
_cell_angle_gamma 90.00
_symmetry_space_group_name_H-M 'C 1 2/m 1'
_symmetry_Int_Tables_number 12
_symmetry_space_group_name_Hall '-C 2y'
loop_
_atom_site_label
_atom_site_type_symbol
_atom_site_fract_x
_atom_site_fract_y
_atom_site_fract_z
Ag1 Ag 0.000 0.000 0.000
Ag2 Ag 0.000 0.163 0.500
Ag3 Ag 0.000 0.333 0.000
Sb1 Sb 0.000 0.500 0.500
Br1 Br 0.135 0.341 0.379
Br2 Br 0.141 0.000 0.370
Br3 Br 0.230 0.167 0.117
Br4 Br 0.231 0.500 0.117
```



(9)
This entry pairs a crystal structure of PuMgHgO6 with its theoretical powder XRD pattern. Radiation: Cu Ka. Structure: a cell relaxed with PBE.
Peak positions follow from Bragg's law for the DFT cell and can differ from measured ones.

Largest 12 diffraction maxima, low angle first, 15° ≤ 2θ ≤ 90°:
- d 4.703, 18.87°, rel. 29, (1 1 0)
- d 3.386, 26.32°, rel. 100, (1 1 1)
- d 2.715, 32.99°, rel. 33, (1 3 0)
- d 2.439, 36.86°, rel. 7, (0 0 2)
- d 2.165, 41.72°, rel. 8, (1 1 2)
- d 2.118, 42.68°, rel. 27, (2 2 1)
- d 1.814, 50.29°, rel. 31, (1 3 2)
- d 1.670, 54.98°, rel. 27, (2 4 1)
- d 1.568, 58.91°, rel. 11, (3 3 0)
- d 1.537, 60.22°, rel. 10, (1 1 3)
- d 1.260, 75.42°, rel. 9, (3 5 -1)
- d 1.200, 79.93°, rel. 6, (2 4 -3)

Structure:
```
data_PuMgHgO6
_cell_length_a 5.428
_cell_length_b 9.412
_cell_length_c 4.878
_cell_angle_alpha 90.00
_cell_angle_beta 90.09
_cell_angle_gamma 90.00
_symmetry_space_group_name_H-M 'C 1 2 1'
_symmetry_Int_Tables_number 5
_symmetry_space_group_name_Hall 'C 2y'
loop_
_atom_site_label
_atom_site_type_symbol
_atom_site_fract_x
_atom_site_fract_y
_atom_site_fract_z
Pu1 Pu 0.000 0.000 0.000
Mg1 Mg 0.000 0.333 0.000
Hg1 Hg 0.000 0.667 0.500
O1 O 0.138 0.159 0.219
O2 O 0.170 0.852 0.219
O3 O 0.193 0.489 0.219
```



(10)
This entry pairs a crystal structure of LiRh4Au with its theoretical powder XRD pattern. Radiation: Cu Ka. Structure: a cell relaxed with PBE.
Peak positions follow from Bragg's law for the DFT cell and can differ from measured ones.

Largest 12 diffraction maxima, low angle first, 15° ≤ 2θ ≤ 90°:
- d 4.204, 21.14°, rel. 30, (1 1 1)
- d 3.640, 24.45°, rel. 25, (2 0 0)
- d 2.574, 34.85°, rel. 23, (2 2 0)
- d 2.195, 41.12°, rel. 100, (3 1 1)
- d 2.102, 43.04°, rel. 43, (2 2 2)
- d 1.670, 54.97°, rel. 7, (3 3 1)
- d 1.628, 56.53°, rel. 10, (4 2 0)
- d 1.486, 62.49°, rel. 9, (4 2 2)
- d 1.401, 66.76°, rel. 32, (5 1 1)
- d 1.287, 73.59°, rel. 24, (4 4 0)
- d 1.110, 87.95°, rel. 12, (5 3 3)
- d 1.098, 89.23°, rel. 16, (6 2 2)

Structure:
```
data_LiRh4Au
_cell_length_a 7.281
_cell_length_b 7.281
_cell_length_c 7.281
_cell_angle_alpha 90.00
_cell_angle_beta 90.00
_cell_angle_gamma 90.00
_symmetry_space_group_name_H-M 'F -4 3 m'
_symmetry_Int_Tables_number 216
_symmetry_space_group_name_Hall 'F -4 2 3'
loop_
_atom_site_label
_atom_site_type_symbol
_atom_site_fract_x
_atom_site_fract_y
_atom_site_fract_z
Li1 Li 0.000 0.000 0.000
Rh1 Rh 0.125 0.125 0.625
Au1 Au 0.250 0.250 0.250
```



(11)
This entry pairs a crystal structure of FeCoSn4 with its theoretical powder XRD pattern. Radiation: Cu Ka. Structure: a cell relaxed with PBE.
Peak positions follow from Bragg's law for the DFT cell and can differ from measured ones.

Largest 12 diffraction maxima, low angle first, 15° ≤ 2θ ≤ 90°:
- d 2.828, 31.64°, rel. 28, (0 0 4)
- d 2.744, 32.64°, rel. 100, (2 1 1)
- d 2.390, 37.64°, rel. 32, (1 1 4)
- d 2.262, 39.85°, rel. 75, (2 1 3)
- d 2.108, 42.91°, rel. 51, (2 0 4)
- d 2.000, 45.35°, rel. 43, (3 1 0)
- d 1.767, 51.75°, rel. 20, (2 1 5)
- d 1.520, 60.96°, rel. 18, (4 1 1)
- d 1.421, 65.72°, rel. 18, (4 1 3)
- d 1.414, 66.08°, rel. 15, (0 0 8)
- d 1.403, 66.67°, rel. 21, (2 1 7)
- d 1.319, 71.56°, rel. 31, (3 3 4)

Structure:
```
data_FeCoSn4
_cell_length_a 6.324
_cell_length_b 6.324
_cell_length_c 11.310
_cell_angle_alpha 90.00
_cell_angle_beta 90.00
_cell_angle_gamma 90.00
_symmetry_space_group_name_H-M 'I 4/m c m'
_symmetry_Int_Tables_number 140
_symmetry_space_group_name_Hall '-I 4 2c'
loop_
_atom_site_label
_atom_site_type_symbol
_atom_site_fract_x
_atom_site_fract_y
_atom_site_fract_z
Fe1 Fe 0.000 0.000 0.250
Co1 Co 0.000 0.000 0.000
Sn1 Sn 0.167 0.333 0.130
```



(12)
This entry pairs a crystal structure of BaTeS4 with its theoretical powder XRD pattern. Radiation: Cu Ka. Structure: a cell relaxed with PBE.
Peak positions follow from Bragg's law for the DFT cell and can differ from measured ones.

Largest 12 diffraction maxima, low angle first, 15° ≤ 2θ ≤ 90°:
- d 4.967, 17.86°, rel. 38, (0 2 1)
- d 4.463, 19.90°, rel. 61, (1 3 0)
- d 3.734, 23.83°, rel. 44, (1 3 -1)
- d 3.502, 25.44°, rel. 25, (2 0 0)
- d 3.248, 27.46°, rel. 22, (2 2 0)
- d 3.112, 28.68°, rel. 100, (1 5 0)
- d 3.027, 29.51°, rel. 77, (0 0 2)
- d 3.007, 29.71°, rel. 35, (2 2 -1)
- d 2.736, 32.73°, rel. 22, (2 2 1)
- d 2.231, 40.42°, rel. 44, (1 5 -2)
- d 2.165, 41.73°, rel. 24, (3 3 0)
- d 2.114, 42.78°, rel. 33, (1 5 2)

Structure:
```
data_BaTeS4
_cell_length_a 7.057
_cell_length_b 17.371
_cell_length_c 6.100
_cell_angle_alpha 90.00
_cell_angle_beta 97.02
_cell_angle_gamma 90.00
_symmetry_space_group_name_H-M 'C 1 2/c 1'
_symmetry_Int_Tables_number 15
_symmetry_space_group_name_Hall '-C 2yc'
loop_
_atom_site_label
_atom_site_type_symbol
_atom_site_fract_x
_atom_site_fract_y
_atom_site_fract_z
Ba1 Ba 0.000 0.104 0.250
Te1 Te 0.000 0.496 0.750
S1 S 0.141 0.277 0.794
S2 S 0.212 0.068 0.733
```